1.
The following is a simulated powder XRD pattern of PrPu2Pt9. It was derived from DFT lattice parameters and positions (PBE), using Cu Kα X-rays.

Main lines, in order of rising 2θ (15 to 90 degrees two-theta):
| two_theta | I_rel |
| --- | --- |
| 33.13 | 24 |
| 38.59 | 26 |
| 38.98 | 100 |
| 40.54 | 22 |
| 40.83 | 17 |
| 41.92 | 21 |
| 42.13 | 37 |
| 63.10 | 23 |
| 69.52 | 24 |
| 83.69 | 17 |

```
12
Lattice="2.7043 1.5613 8.9013 -2.7043 1.5613 8.9013 0.0000 -3.1226 8.9013" Properties=species:S:1:pos:R:3 pbc="T T T"
Pr 0.0000 0.0000 0.0000
Pu 0.0000 0.0000 3.8218
Pu 0.0000 0.0000 22.8822
Pt -1.3673 -0.7894 11.1940
Pt 0.0000 0.0000 8.8849
Pt 0.0000 -1.5789 15.5100
Pt -1.3673 0.7894 15.5100
Pt 0.0000 0.0000 13.3520
Pt 1.3673 -0.7894 11.1940
Pt 0.0000 1.5788 11.1940
Pt 0.0000 0.0000 17.8191
Pt 1.3673 0.7894 15.5100
```

=====

2.
The following is a simulated powder XRD pattern of Pr3Sb4Pt3. It was derived from DFT lattice parameters and positions (PBE), using Cu Kα X-rays.

Main lines, in order of rising 2θ (15 to 90 degrees two-theta):
| two_theta | I_rel |
| --- | --- |
| 21.80 | 31 |
| 33.58 | 100 |
| 40.40 | 50 |
| 42.47 | 13 |
| 44.45 | 15 |
| 46.37 | 16 |
| 50.04 | 12 |
| 58.46 | 13 |
| 64.68 | 11 |
| 69.14 | 16 |

```
20
Lattice="-4.9922 4.9922 4.9922 4.9922 -4.9922 4.9922 4.9922 4.9922 -4.9922" Properties=species:S:1:pos:R:3 pbc="T T T"
Pr 7.4883 1.2480 0.0000
Pr 3.7441 0.0000 2.4961
Pr 2.4961 3.7441 0.0000
Pr 0.0000 2.4961 3.7441
Pr 1.2480 0.0000 7.4883
Pr 0.0000 7.4883 1.2480
Sb 4.1832 0.8090 -0.8090
Sb 6.6793 -1.6871 1.6871
Sb 0.8090 0.8090 0.8090
Sb 0.8090 -0.8090 4.1832
Sb -0.8090 4.1832 0.8090
Sb 1.6871 6.6793 -1.6871
Sb 3.3051 3.3051 3.3051
Sb -1.6871 1.6871 6.6793
Pt 4.9922 -2.4961 3.7441
Pt 3.7441 4.9922 -2.4961
Pt 4.9922 2.4961 1.2480
Pt 2.4961 1.2480 4.9922
Pt 1.2480 4.9922 2.4961
Pt -2.4961 3.7441 4.9922
```

=====

3.
The following is a simulated powder XRD pattern of PrSi2Pt. It was derived from DFT lattice parameters and positions (PBE), using Cu Kα X-rays.

Main lines, in order of rising 2θ (15 to 90 degrees two-theta):
| two_theta | I_rel |
| --- | --- |
| 26.44 | 38 |
| 27.40 | 45 |
| 29.85 | 100 |
| 33.68 | 78 |
| 38.44 | 67 |
| 43.83 | 24 |
| 49.99 | 30 |
| 52.49 | 24 |
| 56.39 | 36 |
| 70.78 | 17 |

```
8
Lattice="5.8321 0.0000 0.0000 0.0000 4.1311 0.0000 -0.0086 0.0000 6.5098" Properties=species:S:1:pos:R:3 pbc="T T T"
Pr 0.7559 1.0328 1.6252
Pr 5.0676 3.0983 4.8847
Si 1.9572 3.0983 3.5209
Si 1.9586 3.0983 6.2403
Si 3.8649 1.0328 0.2696
Si 3.8663 1.0328 2.9889
Pt 2.2541 1.0328 4.8817
Pt 3.5694 3.0983 1.6282
```